# 1
Computed powder diffractogram
Compound: TlBrF4
Radiation: Cu Kα
Structure: a structure optimized by DFT (PBE)

Principal peaks in the range 10 to 90 degrees two-theta, most intense first:
d (Å)	intensity
3.833	100
3.953	79
2.971	50
3.424	50
2.575	44
2.126	27
4.314	27
2.992	26
3.075	25
5.983	23
2.015	21
2.047	19

Cell and atoms:
Cell lengths 4.625, 6.473, 9.356 Å; angles 82.08, 89.98, 69.16 degrees
Fractional coordinates of all 12 atoms:
Tl  0.158  0.000  0.250
Tl  0.842  0.000  0.750
Br  0.000  0.500  0.500
Br  0.500  0.500  0.000
F  0.152  0.643  0.111
F  0.207  0.644  0.609
F  0.240  0.208  0.607
F  0.446  0.793  0.893
F  0.554  0.207  0.107
F  0.760  0.792  0.393
F  0.793  0.356  0.391
F  0.848  0.357  0.889

---

# 2
Computed powder diffractogram
Compound: CsK2AlP2
Radiation: Cu Kα
Structure: a structure optimized by DFT (PBE)

Principal peaks in the range 10 to 90 degrees two-theta, most intense first:
d (Å)	intensity
6.795	100
3.597	90
3.046	74
3.996	68
2.635	65
3.014	60
2.767	47
2.855	40
7.194	40
2.651	37
2.390	34
2.456	34

Cell and atoms:
Cell lengths 8.687, 8.687, 8.687 Å; angles 121.57, 77.06, 134.45 degrees
Fractional coordinates of all 12 atoms:
Cs  0.250  0.250  0.000
Cs  0.750  0.750  0.000
K  0.186  0.680  0.866
K  0.314  0.180  0.493
K  0.686  0.820  0.507
K  0.814  0.320  0.134
Al  0.250  0.750  0.500
Al  0.750  0.250  0.500
P  0.089  0.340  0.428
P  0.411  0.840  0.251
P  0.589  0.160  0.749
P  0.911  0.660  0.572

---

# 3
Computed powder diffractogram
Compound: HfBiSb
Radiation: Cu Kα
Structure: a structure optimized by DFT (PBE)

Principal peaks in the range 10 to 90 degrees two-theta, most intense first:
d (Å)	intensity
2.687	100
2.586	75
2.201	43
2.968	42
3.158	37
2.289	32
2.383	29
2.889	28
3.506	25
2.359	21
1.630	20
2.089	20

Cell and atoms:
Cell lengths 7.908, 5.752, 7.157 Å; angles 90.00, 104.75, 90.00 degrees
Fractional coordinates of all 12 atoms:
Hf  0.178  0.132  0.031
Hf  0.178  0.368  0.531
Hf  0.822  0.632  0.469
Hf  0.822  0.868  0.969
Bi  0.417  0.507  0.265
Bi  0.417  0.993  0.765
Bi  0.583  0.007  0.235
Bi  0.583  0.493  0.735
Sb  0.111  0.629  0.856
Sb  0.111  0.871  0.356
Sb  0.889  0.129  0.644
Sb  0.889  0.371  0.144

---

# 4
Computed powder diffractogram
Compound: CePrTm2S4
Radiation: Cu Kα
Structure: a structure optimized by DFT (PBE)

Principal peaks in the range 10 to 90 degrees two-theta, most intense first:
d (Å)	intensity
2.796	100
3.202	59
2.001	25
1.954	23
3.312	22
1.683	13
2.005	12
1.599	12
1.950	12
1.398	11
1.713	11
1.262	11

Cell and atoms:
Cell lengths 6.776, 3.899, 6.995 Å; angles 90.00, 108.73, 90.00 degrees
Fractional coordinates of all 8 atoms:
Ce  0.000  0.000  0.000
Pr  0.500  0.500  0.000
Tm  0.000  0.500  0.500
Tm  0.500  0.000  0.500
S  0.240  0.000  0.728
S  0.254  0.500  0.270
S  0.746  0.500  0.730
S  0.760  0.000  0.272